Starting from a structure optimized by DFT (GGA-PBE), the PXRD pattern of Pa2TlSe5 was simulated for copper Kα.
Lines closer than 0.1° are merged.

Main lines, low angle first (2θ from 10° to 90°):
2θ/deg, I_rel
12.14, 49
20.12, 36
25.79, 27
26.13, 17
29.32, 15
31.45, 100
36.22, 64
40.21, 54
44.16, 18
50.96, 19
63.32, 25
67.08, 17

Crystal structure
abc: 7.8436 7.8436 14.5821
angles: 90.00 90.00 90.00
Space group I4/mcm (No. 140)
Unique sites:
Pa  0.1573  0.3427  0.0000 (multiplicity 8)
Tl  0.0000  0.0000  0.2500 (multiplicity 4)
Se  0.0000  0.0000  0.0000 (multiplicity 4)
Se  0.1461  0.3539  0.3761 (multiplicity 16)

***

Starting from a structure optimized by DFT (GGA-PBE), the PXRD pattern of Pa2TlSe6 was simulated for copper Kα.
Lines closer than 0.1° are merged.

Main lines, low angle first (2θ from 10° to 90°):
2θ/deg, I_rel
22.20, 90
25.38, 57
31.35, 56
33.97, 100
34.21, 23
38.96, 67
40.96, 95
46.53, 27
57.34, 23
61.25, 31
62.70, 38
66.96, 20

Crystal structure
abc: 8.0077 8.0077 4.0682
angles: 90.00 90.00 120.00
Space group P-3 (No. 147)
Unique sites:
Pa  0.3333  0.6667  0.2397 (multiplicity 2)
Tl  0.0000  0.0000  0.0000 (multiplicity 1)
Se  0.0873  0.6879  0.7409 (multiplicity 6)

***

Starting from a structure optimized by DFT (GGA-PBE), the PXRD pattern of Y3PaTl3Se8 was simulated for copper Kα.
Lines closer than 0.1° are merged.

Main lines, low angle first (2θ from 10° to 90°):
2θ/deg, I_rel
12.81, 26
24.15, 12
25.77, 10
28.99, 100
39.52, 36
43.33, 35
49.45, 7
52.98, 19
60.08, 11
65.32, 12
70.76, 16
76.93, 10

Crystal structure
abc: 8.3523 8.3523 23.5014
angles: 90.00 90.00 120.00
Space group R-3m (No. 166, hexagonal axes)
Unique sites:
Y  0.0000  0.5000  0.0000 (multiplicity 9)
Pa  0.0000  0.0000  0.0000 (multiplicity 3)
Tl  0.0000  0.5000  0.5000 (multiplicity 9)
Se  0.0000  0.0000  0.2655 (multiplicity 6)
Se  0.0020  0.5010  0.7341 (multiplicity 18)

***

Starting from a structure optimized by DFT (GGA-PBE), the PXRD pattern of U4PaSe6 was simulated for copper Kα.
Lines closer than 0.1° are merged.

Main lines, low angle first (2θ from 10° to 90°):
2θ/deg, I_rel
24.65, 55
26.74, 100
31.37, 86
32.93, 89
34.83, 25
35.09, 73
36.68, 57
40.29, 27
41.39, 43
47.50, 56
71.39, 36
72.03, 25

Crystal structure
abc: 11.5492 11.5492 13.8868
angles: 90.00 90.00 120.00
Space group R-3c (No. 167, hexagonal axes)
Unique sites:
U  0.0000  0.0000  0.2500 (multiplicity 6)
U  0.0000  0.3920  0.2500 (multiplicity 18)
Pa  0.0000  0.0000  0.0000 (multiplicity 6)
Se  0.0317  0.2112  0.3814 (multiplicity 36)

***

Starting from a structure optimized by DFT (GGA-PBE), the PXRD pattern of UPaSe6 was simulated for copper Kα.
Lines closer than 0.1° are merged.

Main lines, low angle first (2θ from 10° to 90°):
2θ/deg, I_rel
14.46, 62
23.10, 46
24.51, 49
29.15, 43
31.41, 74
33.11, 88
36.29, 81
36.76, 39
39.88, 38
40.67, 100
44.69, 80
65.06, 38

Crystal structure
abc: 4.0560 4.0551 24.5089
angles: 90.00 90.00 90.00
Space group Amm2 (No. 38)
Unique sites:
U  0.0000  0.0000  0.0000 (multiplicity 2)
Pa  0.5000  0.0000  0.3399 (multiplicity 2)
Se  0.0000  0.0000  0.2547 (multiplicity 2)
Se  0.0000  0.0000  0.5873 (multiplicity 2)
Se  0.0000  0.0000  0.8759 (multiplicity 2)
Se  0.5000  0.0000  0.0874 (multiplicity 2)
Se  0.5000  0.0000  0.4640 (multiplicity 2)
Se  0.5000  0.0000  0.7547 (multiplicity 2)

***

Starting from a structure optimized by DFT (GGA-PBE), the PXRD pattern of UPa2Se3 was simulated for copper Kα.
Lines closer than 0.1° are merged.

Main lines, low angle first (2θ from 10° to 90°):
2θ/deg, I_rel
26.83, 43
31.07, 100
44.52, 75
52.74, 22
55.28, 27
64.79, 13
71.43, 9
73.59, 35
82.01, 27
88.20, 8

Crystal structure
abc: 4.0692 4.0692 17.2769
angles: 90.00 90.00 90.00
Space group I4/mmm (No. 139)
Unique sites:
U  0.0000  0.0000  0.0000 (multiplicity 2)
Pa  0.0000  0.0000  0.3330 (multiplicity 4)
Se  0.0000  0.0000  0.1661 (multiplicity 4)
Se  0.0000  0.0000  0.5000 (multiplicity 2)

***

Starting from a structure optimized by DFT (GGA-PBE), the PXRD pattern of UPa2Se was simulated for copper Kα.
Lines closer than 0.1° are merged.

Main lines, low angle first (2θ from 10° to 90°):
2θ/deg, I_rel
13.86, 14
34.05, 63
36.93, 6
37.08, 100
48.92, 23
57.71, 7
62.94, 44
68.73, 17
71.69, 8
78.97, 11
81.80, 11
83.56, 12

Crystal structure
abc: 3.7234 3.7234 6.3899
angles: 90.00 90.00 90.00
Space group P4/mmm (No. 123)
Unique sites:
U  0.0000  0.0000  0.0000 (multiplicity 1)
Pa  0.5000  0.5000  0.2392 (multiplicity 2)
Se  0.0000  0.0000  0.5000 (multiplicity 1)

***

Starting from a structure optimized by DFT (GGA-PBE), the PXRD pattern of U3PaSe4 was simulated for copper Kα.
Lines closer than 0.1° are merged.

Main lines, low angle first (2θ from 10° to 90°):
2θ/deg, I_rel
25.19, 13
27.48, 21
27.63, 10
31.23, 100
43.20, 28
43.39, 14
46.07, 12
46.28, 23
56.72, 13
65.15, 13
71.76, 13
76.27, 11

Crystal structure
abc: 11.5022 7.8804 4.1900
angles: 90.00 95.45 90.00
Space group C2/m (No. 12)
Unique sites:
U  0.0000  0.0000  0.0000 (multiplicity 2)
U  0.2500  0.2500  0.5000 (multiplicity 4)
Pa  0.0000  0.5000  0.0000 (multiplicity 2)
Se  0.0000  0.2478  0.5000 (multiplicity 4)
Se  0.2489  0.0000  0.9992 (multiplicity 4)

***

Starting from a structure optimized by DFT (GGA-PBE), the PXRD pattern of PaV2Se6 was simulated for copper Kα.
Lines closer than 0.1° are merged.

Main lines, low angle first (2θ from 10° to 90°):
2θ/deg, I_rel
10.96, 15
12.82, 100
27.94, 17
28.82, 18
32.72, 79
33.30, 36
41.46, 17
41.78, 17
44.73, 31
45.68, 13
48.19, 14
49.92, 20

Crystal structure
abc: 17.3872 3.7768 8.0352
angles: 90.00 111.81 90.00
Space group C2/m (No. 12)
Unique sites:
Pa  0.0000  0.0000  0.0000 (multiplicity 2)
V  0.1800  0.5000  0.3584 (multiplicity 4)
Se  0.0143  0.5000  0.2641 (multiplicity 4)
Se  0.1706  0.0000  0.1258 (multiplicity 4)
Se  0.1721  0.0000  0.5667 (multiplicity 4)

***

Starting from a structure optimized by DFT (GGA-PBE), the PXRD pattern of PaV2Se6 was simulated for copper Kα.
Lines closer than 0.1° are merged.

Main lines, low angle first (2θ from 10° to 90°):
2θ/deg, I_rel
13.88, 78
19.83, 100
20.89, 38
26.76, 43
29.43, 41
31.26, 58
33.35, 35
36.31, 74
39.36, 36
39.54, 67
41.54, 72
68.86, 27

Crystal structure
abc: 13.0551 4.9489 8.5283
angles: 90.00 126.32 90.00
Space group C2/m (No. 12)
Unique sites:
Pa  0.0000  0.0000  0.0000 (multiplicity 2)
V  0.1794  0.0000  0.5895 (multiplicity 4)
Se  0.0401  0.0000  0.7075 (multiplicity 4)
Se  0.1375  0.5000  0.0583 (multiplicity 4)
Se  0.2391  0.5000  0.6199 (multiplicity 4)

***

Starting from a structure optimized by DFT (GGA-PBE), the PXRD pattern of PaVSe was simulated for copper Kα.
Lines closer than 0.1° are merged.

Main lines, low angle first (2θ from 10° to 90°):
2θ/deg, I_rel
23.38, 42
35.14, 100
41.09, 48
47.81, 7
53.18, 8
55.15, 28
58.85, 8
64.83, 6
69.32, 21
71.02, 26
74.86, 8
89.09, 13

Crystal structure
abc: 4.3939 4.3939 3.4449
angles: 90.00 90.00 120.00
Space group P-6m2 (No. 187)
Unique sites:
Pa  0.0000  0.0000  0.0000 (multiplicity 1)
V  0.6667  0.3333  0.5000 (multiplicity 1)
Se  0.3333  0.6667  0.5000 (multiplicity 1)

***

Starting from a structure optimized by DFT (GGA-PBE), the PXRD pattern of PaW3Se8 was simulated for copper Kα.
Lines closer than 0.1° are merged.

Main lines, low angle first (2θ from 10° to 90°):
2θ/deg, I_rel
13.37, 62
15.95, 100
24.86, 42
28.63, 47
32.22, 63
35.69, 91
36.97, 28
40.12, 40
41.33, 54
45.27, 51
46.57, 22
51.73, 48

Crystal structure
abc: 7.0687 7.0687 13.2454
angles: 90.00 90.00 120.00
Space group P6_3mc (No. 186)
Unique sites:
Pa  0.3333  0.6667  0.0000 (multiplicity 2)
W  0.1983  0.3965  0.7462 (multiplicity 6)
Se  0.0000  0.0000  0.3393 (multiplicity 2)
Se  0.0208  0.5104  0.3666 (multiplicity 6)
Se  0.1646  0.3293  0.1432 (multiplicity 6)
Se  0.3333  0.6667  0.6032 (multiplicity 2)

***

Repeat the second record exactly.
Starting from a structure optimized by DFT (GGA-PBE), the PXRD pattern of Pa2TlSe6 was simulated for copper Kα.
Lines closer than 0.1° are merged.

Main lines, low angle first (2θ from 10° to 90°):
2θ/deg, I_rel
22.20, 90
25.38, 57
31.35, 56
33.97, 100
34.21, 23
38.96, 67
40.96, 95
46.53, 27
57.34, 23
61.25, 31
62.70, 38
66.96, 20

Crystal structure
abc: 8.0077 8.0077 4.0682
angles: 90.00 90.00 120.00
Space group P-3 (No. 147)
Unique sites:
Pa  0.3333  0.6667  0.2397 (multiplicity 2)
Tl  0.0000  0.0000  0.0000 (multiplicity 1)
Se  0.0873  0.6879  0.7409 (multiplicity 6)